For ErZn5, a DFT-relaxed cell (GGA-PBE, the Materials Project) gives the simulated powder diffractogram in this record (Cu Kα, 1.54184 Å).
Peak positions follow from Bragg's law for the DFT cell and can differ from measured ones.

Crystal structure
Unit cell a=8.8761 b=8.8761 c=9.0335 alpha=90.00 beta=90.00 gamma=120.00
Positions (direct):
Er1 0.1894 0.3789 0.2500
Er2 0.1894 0.8106 0.2500
Er3 0.3789 0.1894 0.7500
Er4 0.6211 0.8106 0.2500
Er5 0.8106 0.1894 0.7500
Er6 0.8106 0.6211 0.7500
Zn1 0.0000 0.0000 0.0000
Zn2 0.0000 0.0000 0.5000
Zn3 0.0000 0.5000 0.0000
Zn4 0.0000 0.5000 0.5000
Zn5 0.1354 0.5677 0.7500
Zn6 0.1605 0.3209 0.5928
Zn7 0.1605 0.3209 0.9072
Zn8 0.1605 0.8395 0.5928
Zn9 0.1605 0.8395 0.9072
Zn10 0.3209 0.1605 0.0928
Zn11 0.3209 0.1605 0.4072
Zn12 0.3333 0.6667 0.0193
Zn13 0.3333 0.6667 0.4807
Zn14 0.4323 0.5677 0.7500
Zn15 0.4323 0.8646 0.7500
Zn16 0.5000 0.0000 0.0000
Zn17 0.5000 0.0000 0.5000
Zn18 0.5000 0.5000 0.0000
Zn19 0.5000 0.5000 0.5000
Zn20 0.5677 0.1354 0.2500
Zn21 0.5677 0.4323 0.2500
Zn22 0.6667 0.3333 0.5193
Zn23 0.6667 0.3333 0.9807
Zn24 0.6791 0.8395 0.5928
Zn25 0.6791 0.8395 0.9072
Zn26 0.8395 0.1605 0.0928
Zn27 0.8395 0.1605 0.4072
Zn28 0.8395 0.6791 0.0928
Zn29 0.8395 0.6791 0.4072
Zn30 0.8646 0.4323 0.2500

The 6 most intense peaks (2θ = 15–90°), in order of falling intensity:
Position (°2θ)	intensity
38.0	100
40.7	82
36.4	36
30.5	20
72.2	19
36.8	19

---

For ErZr, a DFT-relaxed cell (GGA-PBE, the Materials Project) gives the simulated powder diffractogram in this record (Cu Kα, 1.54184 Å).
Peak positions follow from Bragg's law for the DFT cell and can differ from measured ones.

Crystal structure
Unit cell a=3.3987 b=3.3987 c=5.3388 alpha=90.00 beta=90.00 gamma=120.00
Positions (direct):
Er1 0.0000 0.0000 0.0000
Zr1 0.6667 0.3333 0.5000

The 6 most intense peaks (2θ = 15–90°), in order of falling intensity:
Position (°2θ)	intensity
34.8	100
30.4	29
33.6	24
65.1	21
60.8	20
45.9	19

---

For Eu, a DFT-relaxed cell (GGA-PBE, the Materials Project) gives the simulated powder diffractogram in this record (Cu Kα, 1.54184 Å).
Peak positions follow from Bragg's law for the DFT cell and can differ from measured ones.

Crystal structure
Unit cell a=3.8819 b=3.8819 c=6.4195 alpha=90.00 beta=90.00 gamma=121.00
Positions (direct):
Eu1 0.1504 0.8496 0.7500
Eu2 0.8496 0.1504 0.2500

The 6 most intense peaks (2θ = 15–90°), in order of falling intensity:
Position (°2θ)	intensity
30.3	100
29.9	71
27.8	47
26.8	35
39.0	26
55.3	25

---

For Eu, a DFT-relaxed cell (GGA-PBE, the Materials Project) gives the simulated powder diffractogram in this record (Cu Kα, 1.54184 Å).
Peak positions follow from Bragg's law for the DFT cell and can differ from measured ones.

Crystal structure
Unit cell a=4.0507 b=4.0507 c=6.5138 alpha=90.00 beta=90.00 gamma=120.00
Positions (direct):
Eu1 0.3333 0.6667 0.2500
Eu2 0.6667 0.3333 0.7500

The 6 most intense peaks (2θ = 15–90°), in order of falling intensity:
Position (°2θ)	intensity
28.9	100
27.4	25
53.3	24
25.4	23
49.4	23
44.7	20